This entry pairs a crystal structure of Eu5Mo2O12 with its calculated PXRD pattern. Radiation: CuKα. Structure: a structure optimized by DFT (PBE+U).

Largest 8 diffraction maxima, by angle, 10° ≤ 2θ ≤ 90°:
- 26.60 deg, I 985, (3 1 0)
- 27.22 deg, I 1000, (1 1 -2)
- 31.69 deg, I 581, (4 0 -2)
- 44.29 deg, I 317, (4 2 -2)
- 44.63 deg, I 189, (6 0 0)
- 46.21 deg, I 202, (2 0 -4)
- 54.02 deg, I 281, (6 2 -2)
- 54.11 deg, I 241, (5 1 -4)

Structural model:
abc: 12.808 5.933 7.858
angles: 90.00 107.98 90.00
Space group C2/m (No. 12)
One atom of each set of equivalent atoms:
Eu  0.000  0.000  0.000 x2
Eu  0.185  0.500  0.322 x4
Eu  0.193  0.500  0.864 x4
Mo  0.000  0.226  0.500 x4
O  0.000  0.500  0.330 x4
O  0.001  0.000  0.692 x4
O  0.156  0.251  0.079 x8
O  0.156  0.254  0.578 x8